The following is a simulated X-ray powder pattern of BaCeS2F. It was derived from a GGA-PBE-relaxed structure, using Cu Kα, 1.54184 Å.
No peak broadening, texture or thermal motion is included.

Atomic structure:
```
data_BaCeS2F
_space_group_name_H-M_alt 'P 4/n m m'
_space_group_IT_number 129
_cell_length_a 4.1661
_cell_length_b 4.1661
_cell_length_c 14.5015
_cell_angle_alpha 90.00
_cell_angle_beta 90.00
_cell_angle_gamma 90.00
loop_
_space_group_symop_operation_xyz
'x,y,z'
'-x,-y,-z'
'-y+1/2,x,z'
'y+1/2,-x,-z'
'-x+1/2,-y+1/2,z'
'x+1/2,y+1/2,-z'
'y,-x+1/2,z'
'-y,x+1/2,-z'
'x+1/2,-y,-z'
'-x+1/2,y,z'
'-y,-x,-z'
'y,x,z'
'-x,y+1/2,-z'
'x,-y+1/2,z'
'y+1/2,x+1/2,-z'
'-y+1/2,-x+1/2,z'
loop_
_atom_site_label
_atom_site_type_symbol
_atom_site_fract_x
_atom_site_fract_y
_atom_site_fract_z
_atom_site_occupancy
Ba1 Ba 0.2500 0.2500 0.1130 1
Ce1 Ce 0.2500 0.2500 0.6112 1
S1 S 0.2500 0.2500 0.4082 1
S2 S 0.2500 0.2500 0.7883 1
F1 F 0.2500 0.7500 0.0000 1
```

The 8 most intense peaks (2θ from 10° to 90°), sorted by position:
| 2θ (°) | intensity | h k l |
| --- | --- | --- |
| 24.62 | 100 | 0 0 4 |
| 30.34 | 48 | 1 1 0 |
| 39.41 | 36 | 1 1 4 |
| 43.28 | 24 | 1 0 6 |
| 43.44 | 22 | 2 0 0 |
| 50.56 | 36 | 2 0 4 |
| 62.99 | 16 | 2 1 6 |
| 68.81 | 10 | 2 2 4 |